[1]
NaLiCe2Se4: computed PXRD pattern (Cu Ka), based on a crystal structure in Alexandria, relaxed with GGA-PBE.
Peak positions follow from Bragg's law for the DFT cell and can differ from measured ones.

Atomic structure:
```
data_NaLiCe2Se4
_symmetry_space_group_name_H-M 'P 1 2/m 1'
_symmetry_Int_Tables_number 10
_symmetry_space_group_name_Hall '-P 2y'
_cell_length_a 7.163
_cell_length_b 4.264
_cell_length_c 7.388
_cell_angle_alpha 90.00
_cell_angle_beta 110.14
_cell_angle_gamma 90.00
loop_
_atom_site_label
_atom_site_fract_x
_atom_site_fract_y
_atom_site_fract_z
Na1 0.000 0.000 0.000
Li1 0.000 0.500 0.500
Ce1 0.500 0.000 0.500
Ce2 0.500 0.500 0.000
Se1 0.251 0.000 0.746
Se2 0.255 0.500 0.256
```

Principal peaks in the range 2θ = 10–90°, sorted by position:
| 2θ/deg | d (Å) | I/Imax |
| --- | --- | --- |
| 13.17 | 6.725 | 38 |
| 24.50 | 3.633 | 26 |
| 29.99 | 2.980 | 100 |
| 42.39 | 2.133 | 38 |
| 43.45 | 2.083 | 36 |
| 52.79 | 1.734 | 20 |
| 62.32 | 1.490 | 12 |
| 69.92 | 1.345 | 18 |
| 71.46 | 1.320 | 18 |
| 78.27 | 1.221 | 12 |

***

[2]
LiCe2NdTe5: computed PXRD pattern (Cu Ka), based on a crystal structure in Alexandria, relaxed with GGA-PBE.
Peak positions follow from Bragg's law for the DFT cell and can differ from measured ones.

Atomic structure:
```
data_LiCe2NdTe5
_symmetry_space_group_name_H-M 'C 1 m 1'
_symmetry_Int_Tables_number 8
_symmetry_space_group_name_Hall 'C -2y'
_cell_length_a 18.905
_cell_length_b 4.454
_cell_length_c 13.317
_cell_angle_alpha 90.00
_cell_angle_beta 90.00
_cell_angle_gamma 90.00
loop_
_atom_site_label
_atom_site_fract_x
_atom_site_fract_y
_atom_site_fract_z
Li1 0.000 0.000 0.000
Li2 0.109 0.000 0.500
Ce1 0.161 0.500 0.221
Ce2 0.178 0.500 0.841
Ce3 0.430 0.000 0.341
Ce4 0.448 0.000 0.721
Nd1 0.254 0.500 0.545
Nd2 0.355 0.000 0.045
Te1 0.009 0.500 0.110
Te2 0.052 0.000 0.316
Te3 0.056 0.000 0.816
Te4 0.100 0.500 0.610
Te5 0.188 0.000 0.037
Te6 0.240 0.000 0.379
Te7 0.269 0.000 0.712
Te8 0.340 0.500 0.212
Te9 0.369 0.500 0.879
Te10 0.421 0.500 0.537
```

Principal peaks in the range 2θ = 10–90°, sorted by position:
| 2θ/deg | d (Å) | I/Imax |
| --- | --- | --- |
| 24.50 | 3.633 | 14 |
| 28.78 | 3.102 | 100 |
| 29.12 | 3.066 | 38 |
| 31.02 | 2.883 | 13 |
| 33.89 | 2.645 | 63 |
| 34.98 | 2.565 | 11 |
| 40.50 | 2.227 | 31 |
| 41.40 | 2.181 | 12 |
| 44.55 | 2.034 | 10 |
| 50.66 | 1.802 | 16 |

***

[3]
Li2Ce2NdTl2: computed PXRD pattern (Cu Ka), based on a crystal structure in Alexandria, relaxed with GGA-PBE.
Peak positions follow from Bragg's law for the DFT cell and can differ from measured ones.

Atomic structure:
```
data_Li2Ce2NdTl2
_symmetry_space_group_name_H-M 'R -3 m'
_symmetry_Int_Tables_number 166
_symmetry_space_group_name_Hall '-R 3 2"'
_cell_length_a 4.6563
_cell_length_b 4.6563
_cell_length_c 27.9633
_cell_angle_alpha 90.00
_cell_angle_beta 90.00
_cell_angle_gamma 120.00
loop_
_atom_site_label
_atom_site_fract_x
_atom_site_fract_y
_atom_site_fract_z
Li1 0.0000 0.0000 0.0845
Ce1 0.0000 0.0000 0.3551
Nd1 0.0000 0.0000 0.5000
Tl1 0.0000 0.0000 0.2366
```

Principal peaks in the range 2θ = 10–90°, sorted by position:
| 2θ/deg | d (Å) | I/Imax |
| --- | --- | --- |
| 22.27 | 3.991 | 42 |
| 22.95 | 3.875 | 50 |
| 25.50 | 3.493 | 29 |
| 31.52 | 2.838 | 100 |
| 33.94 | 2.641 | 70 |
| 38.67 | 2.328 | 100 |
| 50.72 | 1.800 | 27 |
| 52.39 | 1.747 | 21 |
| 63.98 | 1.455 | 27 |
| 65.55 | 1.424 | 25 |

***

[4]
Li2Ce2NpS6: computed PXRD pattern (Cu Ka), based on a crystal structure in Alexandria, relaxed with GGA-PBE.
Peak positions follow from Bragg's law for the DFT cell and can differ from measured ones.

Atomic structure:
```
data_Li2Ce2NpS6
_symmetry_space_group_name_H-M 'R -3 m'
_symmetry_Int_Tables_number 166
_symmetry_space_group_name_Hall '-R 3 2"'
_cell_length_a 7.2254
_cell_length_b 7.2254
_cell_length_c 19.8868
_cell_angle_alpha 90.00
_cell_angle_beta 90.00
_cell_angle_gamma 120.00
loop_
_atom_site_label
_atom_site_fract_x
_atom_site_fract_y
_atom_site_fract_z
Li1 0.0000 0.0000 0.0763
Ce1 0.0000 0.0000 0.3108
Np1 0.0000 0.0000 0.5000
S1 0.0260 0.5130 0.2601
```

Principal peaks in the range 2θ = 10–90°, sorted by position:
| 2θ/deg | d (Å) | I/Imax |
| --- | --- | --- |
| 14.84 | 5.969 | 100 |
| 24.64 | 3.613 | 54 |
| 26.56 | 3.357 | 46 |
| 28.89 | 3.091 | 20 |
| 33.85 | 2.648 | 21 |
| 36.54 | 2.459 | 30 |
| 36.80 | 2.442 | 40 |
| 44.57 | 2.033 | 30 |
| 50.53 | 1.806 | 18 |
| 51.79 | 1.765 | 16 |

***

[5]
Li2CeRhO4: computed PXRD pattern (Cu Ka), based on a crystal structure in Alexandria, relaxed with GGA-PBE.
Peak positions follow from Bragg's law for the DFT cell and can differ from measured ones.

Atomic structure:
```
data_Li2CeRhO4
_symmetry_space_group_name_H-M 'I -4 m 2'
_symmetry_Int_Tables_number 119
_symmetry_space_group_name_Hall 'I -4 -2'
_cell_length_a 4.556
_cell_length_b 4.556
_cell_length_c 8.622
_cell_angle_alpha 90.00
_cell_angle_beta 90.00
_cell_angle_gamma 90.00
loop_
_atom_site_label
_atom_site_fract_x
_atom_site_fract_y
_atom_site_fract_z
Li1 0.000 0.000 0.000
Li2 0.000 0.500 0.250
Ce1 0.000 0.500 0.750
Rh1 0.000 0.000 0.500
O1 0.000 0.000 0.255
O2 0.000 0.500 0.009
```

Principal peaks in the range 2θ = 10–90°, sorted by position:
| 2θ/deg | d (Å) | I/Imax |
| --- | --- | --- |
| 22.07 | 4.028 | 100 |
| 34.77 | 2.580 | 40 |
| 36.98 | 2.431 | 27 |
| 39.56 | 2.278 | 40 |
| 41.91 | 2.155 | 17 |
| 45.76 | 1.983 | 29 |
| 55.27 | 1.662 | 17 |
| 57.17 | 1.611 | 20 |
| 59.00 | 1.566 | 23 |
| 68.70 | 1.366 | 13 |

***

[6]
LiCe2S2O2: computed PXRD pattern (Cu Ka), based on a crystal structure in Alexandria, relaxed with GGA-PBE.
Peak positions follow from Bragg's law for the DFT cell and can differ from measured ones.

Atomic structure:
```
data_LiCe2S2O2
_symmetry_space_group_name_H-M 'C 1 2/m 1'
_symmetry_Int_Tables_number 12
_symmetry_space_group_name_Hall '-C 2y'
_cell_length_a 10.898
_cell_length_b 3.804
_cell_length_c 6.829
_cell_angle_alpha 90.00
_cell_angle_beta 121.22
_cell_angle_gamma 90.00
loop_
_atom_site_label
_atom_site_fract_x
_atom_site_fract_y
_atom_site_fract_z
Li1 0.000 0.000 0.000
Ce1 0.191 0.000 0.736
S1 0.067 0.500 0.337
O1 0.200 0.000 0.085
```

Principal peaks in the range 2θ = 10–90°, sorted by position:
| 2θ/deg | d (Å) | I/Imax |
| --- | --- | --- |
| 17.12 | 5.179 | 62 |
| 19.05 | 4.660 | 67 |
| 26.31 | 3.387 | 29 |
| 26.88 | 3.317 | 90 |
| 30.62 | 2.920 | 50 |
| 32.15 | 2.784 | 100 |
| 33.20 | 2.698 | 55 |
| 37.37 | 2.406 | 61 |
| 37.71 | 2.385 | 48 |
| 59.45 | 1.555 | 31 |

***

[7]
Li2CeSO8: computed PXRD pattern (Cu Ka), based on a crystal structure in Alexandria, relaxed with GGA-PBE.
Peak positions follow from Bragg's law for the DFT cell and can differ from measured ones.

Atomic structure:
```
data_Li2CeSO8
_symmetry_space_group_name_H-M 'P -3 m 1'
_symmetry_Int_Tables_number 164
_symmetry_space_group_name_Hall '-P 3 2"'
_cell_length_a 5.0030
_cell_length_b 5.0030
_cell_length_c 5.9786
_cell_angle_alpha 90.00
_cell_angle_beta 90.00
_cell_angle_gamma 120.00
loop_
_atom_site_label
_atom_site_fract_x
_atom_site_fract_y
_atom_site_fract_z
Li1 0.3333 0.6667 0.4548
Ce1 0.0000 0.0000 0.0000
S1 0.0000 0.0000 0.5000
O1 0.1529 0.3058 0.6629
O2 0.3333 0.6667 0.0489
```

Principal peaks in the range 2θ = 10–90°, sorted by position:
| 2θ/deg | d (Å) | I/Imax |
| --- | --- | --- |
| 20.50 | 4.333 | 100 |
| 25.39 | 3.508 | 22 |
| 29.89 | 2.989 | 11 |
| 35.90 | 2.502 | 25 |
| 36.52 | 2.460 | 30 |
| 39.03 | 2.308 | 24 |
| 44.48 | 2.037 | 17 |
| 47.39 | 1.918 | 31 |
| 52.14 | 1.754 | 17 |
| 64.93 | 1.436 | 13 |

***

[8]
LiCeTe2O8: computed PXRD pattern (Cu Ka), based on a crystal structure in Alexandria, relaxed with GGA-PBE.
Peak positions follow from Bragg's law for the DFT cell and can differ from measured ones.

Atomic structure:
```
data_LiCeTe2O8
_symmetry_space_group_name_H-M 'I -4 m 2'
_symmetry_Int_Tables_number 119
_symmetry_space_group_name_Hall 'I -4 -2'
_cell_length_a 7.365
_cell_length_b 7.365
_cell_length_c 6.839
_cell_angle_alpha 90.00
_cell_angle_beta 90.00
_cell_angle_gamma 90.00
loop_
_atom_site_label
_atom_site_fract_x
_atom_site_fract_y
_atom_site_fract_z
Li1 0.000 0.000 0.000
Ce1 0.000 0.500 0.750
Te1 0.000 0.000 0.500
Te2 0.000 0.500 0.250
O1 0.000 0.198 0.676
O2 0.000 0.311 0.070
```

Principal peaks in the range 2θ = 10–90°, sorted by position:
| 2θ/deg | d (Å) | I/Imax |
| --- | --- | --- |
| 17.03 | 5.208 | 26 |
| 17.70 | 5.011 | 36 |
| 24.17 | 3.683 | 100 |
| 30.11 | 2.968 | 29 |
| 31.29 | 2.858 | 80 |
| 34.44 | 2.604 | 20 |
| 47.22 | 1.925 | 66 |
| 49.50 | 1.841 | 18 |
| 55.82 | 1.647 | 15 |
| 59.74 | 1.548 | 19 |

***

[9]
LiCeTeO6: computed PXRD pattern (Cu Ka), based on a crystal structure in Alexandria, relaxed with GGA-PBE.
Peak positions follow from Bragg's law for the DFT cell and can differ from measured ones.

Atomic structure:
```
data_LiCeTeO6
_symmetry_space_group_name_H-M 'P 42 n m'
_symmetry_Int_Tables_number 102
_symmetry_space_group_name_Hall 'P 4n -2n'
_cell_length_a 4.982
_cell_length_b 4.982
_cell_length_c 9.807
_cell_angle_alpha 90.00
_cell_angle_beta 90.00
_cell_angle_gamma 90.00
loop_
_atom_site_label
_atom_site_fract_x
_atom_site_fract_y
_atom_site_fract_z
Li1 0.000 0.000 0.000
Ce1 0.000 0.000 0.667
Te1 0.000 0.000 0.326
O1 0.184 0.184 0.179
O2 0.188 0.188 0.472
O3 0.224 0.224 0.830
```

Principal peaks in the range 2θ = 10–90°, sorted by position:
| 2θ/deg | d (Å) | I/Imax |
| --- | --- | --- |
| 18.09 | 4.903 | 29 |
| 19.99 | 4.442 | 71 |
| 25.28 | 3.523 | 100 |
| 31.26 | 2.861 | 28 |
| 32.77 | 2.733 | 73 |
| 36.06 | 2.491 | 18 |
| 41.57 | 2.173 | 19 |
| 49.51 | 1.841 | 67 |
| 62.72 | 1.481 | 36 |
| 85.68 | 1.134 | 22 |

***

[10]
Li2CeP2: computed PXRD pattern (Cu Ka), based on a crystal structure in Alexandria, relaxed with GGA-PBE.
Peak positions follow from Bragg's law for the DFT cell and can differ from measured ones.

Atomic structure:
```
data_Li2CeP2
_symmetry_space_group_name_H-M 'P -3 m 1'
_symmetry_Int_Tables_number 164
_symmetry_space_group_name_Hall '-P 3 2"'
_cell_length_a 4.1546
_cell_length_b 4.1546
_cell_length_c 6.6373
_cell_angle_alpha 90.00
_cell_angle_beta 90.00
_cell_angle_gamma 120.00
loop_
_atom_site_label
_atom_site_fract_x
_atom_site_fract_y
_atom_site_fract_z
Li1 0.3333 0.6667 0.1225
Ce1 0.0000 0.0000 0.5000
P1 0.3333 0.6667 0.7310
```

Principal peaks in the range 2θ = 10–90°, sorted by position:
| 2θ/deg | d (Å) | I/Imax |
| --- | --- | --- |
| 13.34 | 6.637 | 86 |
| 24.74 | 3.598 | 33 |
| 28.21 | 3.163 | 100 |
| 36.85 | 2.439 | 65 |
| 43.57 | 2.077 | 31 |
| 45.77 | 1.982 | 24 |
| 48.29 | 1.885 | 25 |
| 52.72 | 1.736 | 17 |
| 58.34 | 1.582 | 17 |
| 75.56 | 1.258 | 16 |

***

[11]
LiCeP2Rh7: computed PXRD pattern (Cu Ka), based on a crystal structure in Alexandria, relaxed with GGA-PBE.
Peak positions follow from Bragg's law for the DFT cell and can differ from measured ones.

Atomic structure:
```
data_LiCeP2Rh7
_symmetry_space_group_name_H-M 'I -4 m 2'
_symmetry_Int_Tables_number 119
_symmetry_space_group_name_Hall 'I -4 -2'
_cell_length_a 4.159
_cell_length_b 4.159
_cell_length_c 18.843
_cell_angle_alpha 90.00
_cell_angle_beta 90.00
_cell_angle_gamma 90.00
loop_
_atom_site_label
_atom_site_fract_x
_atom_site_fract_y
_atom_site_fract_z
Li1 0.000 0.000 0.000
Ce1 0.000 0.500 0.750
P1 0.000 0.500 0.084
Rh1 0.000 0.000 0.141
Rh2 0.000 0.000 0.363
Rh3 0.000 0.500 0.250
Rh4 0.000 0.500 0.534
```

Principal peaks in the range 2θ = 10–90°, sorted by position:
| 2θ/deg | d (Å) | I/Imax |
| --- | --- | --- |
| 32.05 | 2.793 | 9 |
| 36.00 | 2.495 | 100 |
| 38.21 | 2.355 | 10 |
| 42.09 | 2.147 | 26 |
| 43.52 | 2.080 | 47 |
| 59.27 | 1.559 | 11 |
| 63.23 | 1.471 | 15 |
| 67.02 | 1.396 | 12 |
| 74.96 | 1.267 | 23 |
| 78.08 | 1.224 | 13 |

***

[12]
Li3Ce2PaS6: computed PXRD pattern (Cu Ka), based on a crystal structure in Alexandria, relaxed with GGA-PBE.
Peak positions follow from Bragg's law for the DFT cell and can differ from measured ones.

Atomic structure:
```
data_Li3Ce2PaS6
_symmetry_space_group_name_H-M 'C 1 2/m 1'
_symmetry_Int_Tables_number 12
_symmetry_space_group_name_Hall '-C 2y'
_cell_length_a 6.898
_cell_length_b 11.960
_cell_length_c 6.632
_cell_angle_alpha 90.00
_cell_angle_beta 110.22
_cell_angle_gamma 90.00
loop_
_atom_site_label
_atom_site_fract_x
_atom_site_fract_y
_atom_site_fract_z
Li1 0.000 0.000 0.000
Li2 0.000 0.339 0.000
Ce1 0.000 0.167 0.500
Pa1 0.000 0.500 0.500
S1 0.238 0.500 0.244
S2 0.248 0.339 0.760
```

Principal peaks in the range 2θ = 10–90°, sorted by position:
| 2θ/deg | d (Å) | I/Imax |
| --- | --- | --- |
| 14.23 | 6.223 | 100 |
| 26.26 | 3.393 | 78 |
| 27.56 | 3.237 | 28 |
| 32.26 | 2.775 | 98 |
| 35.42 | 2.534 | 38 |
| 42.85 | 2.110 | 19 |
| 45.53 | 1.992 | 37 |
| 47.00 | 1.933 | 34 |
| 47.94 | 1.897 | 29 |
| 56.90 | 1.618 | 19 |

***

[13]
Li4Ce9Pb11: computed PXRD pattern (Cu Ka), based on a crystal structure in Alexandria, relaxed with GGA-PBE.
Peak positions follow from Bragg's law for the DFT cell and can differ from measured ones.

Atomic structure:
```
data_Li4Ce9Pb11
_symmetry_space_group_name_H-M 'C m m m'
_symmetry_Int_Tables_number 65
_symmetry_space_group_name_Hall '-C 2 2'
_cell_length_a 16.919
_cell_length_b 22.693
_cell_length_c 3.410
_cell_angle_alpha 90.00
_cell_angle_beta 90.00
_cell_angle_gamma 90.00
loop_
_atom_site_label
_atom_site_fract_x
_atom_site_fract_y
_atom_site_fract_z
Li1 0.143 0.101 0.000
Ce1 0.000 0.000 0.000
Ce2 0.107 0.249 0.000
Ce3 0.146 0.422 0.000
Pb1 0.000 0.138 0.500
Pb2 0.000 0.349 0.500
Pb3 0.000 0.500 0.500
Pb4 0.200 0.000 0.500
Pb5 0.245 0.175 0.500
```

Principal peaks in the range 2θ = 10–90°, sorted by position:
| 2θ/deg | d (Å) | I/Imax |
| --- | --- | --- |
| 25.19 | 3.536 | 23 |
| 30.90 | 2.894 | 35 |
| 31.74 | 2.819 | 100 |
| 32.41 | 2.762 | 21 |
| 33.31 | 2.690 | 30 |
| 33.77 | 2.655 | 88 |
| 35.45 | 2.532 | 81 |
| 53.09 | 1.725 | 27 |
| 56.72 | 1.623 | 22 |
| 63.81 | 1.459 | 30 |